[1]
For Y6PtI10, DFT lattice parameters and positions (PBE) gives the theoretical powder X-ray diffraction pattern in this record (λ = 1.5418 Å (Cu Kα)).

Main lines, low angle first (15 to 90 degrees two-theta):
- 3.615 Å, I 35
- 3.580 Å, I 97
- 3.155 Å, I 100
- 3.089 Å, I 100
- 3.080 Å, I 98
- 2.216 Å, I 67
- 2.197 Å, I 37
- 2.195 Å, I 36
- 2.186 Å, I 35
- 2.177 Å, I 35

Structure:
```
data_Y6PtI10
_chemical_formula_sum 'Y6 Pt1 I10'
_cell_length_a 7.724
_cell_length_b 9.731
_cell_length_c 9.762
_cell_angle_alpha 107.42
_cell_angle_beta 97.02
_cell_angle_gamma 104.89
_symmetry_space_group_name_H-M 'P 1'
_symmetry_Int_Tables_number 1
_symmetry_space_group_name_Hall 'P 1'
loop_
_atom_site_label
_atom_site_type_symbol
_atom_site_fract_x
_atom_site_fract_y
_atom_site_fract_z
Y1 Y 0.027 0.211 0.412
Y2 Y 0.114 0.539 0.256
Y3 Y 0.352 0.628 0.667
Y4 Y 0.648 0.372 0.333
Y5 Y 0.886 0.461 0.744
Y6 Y 0.973 0.789 0.588
Pt1 Pt 0.000 0.500 0.500
I1 I 0.086 0.872 0.320
I2 I 0.216 0.238 0.149
I3 I 0.262 0.589 0.965
I4 I 0.359 0.956 0.774
I5 I 0.453 0.317 0.592
I6 I 0.547 0.683 0.408
I7 I 0.641 0.044 0.226
I8 I 0.738 0.411 0.035
I9 I 0.784 0.762 0.851
I10 I 0.914 0.128 0.680
```


[2]
For Rb3Sb2I9, DFT lattice parameters and positions (PBE) gives the theoretical powder X-ray diffraction pattern in this record (λ = 1.5418 Å (Cu Kα)).

Main lines, low angle first (15 to 90 degrees two-theta):
- 3.648 Å, I 43
- 3.621 Å, I 39
- 3.561 Å, I 43
- 3.522 Å, I 47
- 3.461 Å, I 69
- 3.035 Å, I 72
- 3.030 Å, I 100
- 2.748 Å, I 28
- 2.153 Å, I 28
- 2.049 Å, I 36

Structure:
```
data_Rb3Sb2I9
_chemical_formula_sum 'Rb12 Sb8 I36'
_cell_length_a 15.031
_cell_length_b 8.426
_cell_length_c 25.706
_cell_angle_alpha 90.00
_cell_angle_beta 124.70
_cell_angle_gamma 90.00
_symmetry_space_group_name_H-M 'P 1'
_symmetry_Int_Tables_number 1
_symmetry_space_group_name_Hall 'P 1'
loop_
_atom_site_label
_atom_site_type_symbol
_atom_site_fract_x
_atom_site_fract_y
_atom_site_fract_z
Rb1 Rb 0.000 0.213 0.000
Rb2 Rb 0.000 0.787 0.500
Rb3 Rb 0.079 0.276 0.785
Rb4 Rb 0.079 0.724 0.285
Rb5 Rb 0.348 0.228 0.669
Rb6 Rb 0.348 0.772 0.169
Rb7 Rb 0.415 0.262 0.454
Rb8 Rb 0.415 0.738 0.954
Rb9 Rb 0.657 0.240 0.327
Rb10 Rb 0.657 0.760 0.827
Rb11 Rb 0.732 0.276 0.116
Rb12 Rb 0.732 0.724 0.616
Sb1 Sb 0.209 0.244 0.229
Sb2 Sb 0.209 0.756 0.729
Sb3 Sb 0.365 0.247 0.050
Sb4 Sb 0.365 0.753 0.550
Sb5 Sb 0.720 0.257 0.733
Sb6 Sb 0.720 0.743 0.233
Sb7 Sb 0.865 0.260 0.549
Sb8 Sb 0.865 0.740 0.049
I1 I 0.090 0.069 0.644
I2 I 0.090 0.931 0.144
I3 I 0.131 0.179 0.308
I4 I 0.131 0.821 0.808
I5 I 0.195 0.449 0.952
I6 I 0.195 0.551 0.452
I7 I 0.232 0.038 0.502
I8 I 0.232 0.962 0.002
I9 I 0.283 0.329 0.137
I10 I 0.283 0.671 0.637
I11 I 0.320 0.467 0.800
I12 I 0.320 0.533 0.300
I13 I 0.405 0.055 0.310
I14 I 0.405 0.945 0.810
I15 I 0.452 0.190 0.975
I16 I 0.452 0.810 0.475
I17 I 0.519 0.444 0.613
I18 I 0.519 0.556 0.113
I19 I 0.562 0.051 0.171
I20 I 0.562 0.949 0.671
I21 I 0.635 0.312 0.809
I22 I 0.635 0.688 0.309
I23 I 0.670 0.454 0.473
I24 I 0.670 0.546 0.973
I25 I 0.751 0.024 0.976
I26 I 0.751 0.976 0.476
I27 I 0.799 0.168 0.645
I28 I 0.799 0.832 0.145
I29 I 0.852 0.456 0.278
I30 I 0.852 0.544 0.778
I31 I 0.895 0.062 0.832
I32 I 0.895 0.938 0.332
I33 I 0.940 0.333 0.470
I34 I 0.940 0.667 0.970
I35 I 0.986 0.431 0.135
I36 I 0.986 0.569 0.635
```


[3]
For Rb3Sb2I9, DFT lattice parameters and positions (PBE) gives the theoretical powder X-ray diffraction pattern in this record (λ = 1.5418 Å (Cu Kα)).

Main lines, low angle first (15 to 90 degrees two-theta):
- 3.675 Å, I 41
- 3.623 Å, I 28
- 3.540 Å, I 42
- 3.510 Å, I 45
- 3.476 Å, I 74
- 3.061 Å, I 73
- 3.017 Å, I 100
- 2.721 Å, I 26
- 2.156 Å, I 40
- 2.142 Å, I 29

Structure:
```
data_Rb3Sb2I9
_chemical_formula_sum 'Rb12 Sb8 I36'
_cell_length_a 15.040
_cell_length_b 8.447
_cell_length_c 25.870
_cell_angle_alpha 90.00
_cell_angle_beta 125.51
_cell_angle_gamma 90.00
_symmetry_space_group_name_H-M 'P 1'
_symmetry_Int_Tables_number 1
_symmetry_space_group_name_Hall 'P 1'
loop_
_atom_site_label
_atom_site_type_symbol
_atom_site_fract_x
_atom_site_fract_y
_atom_site_fract_z
Rb1 Rb 0.242 0.025 0.394
Rb2 Rb 0.242 0.475 0.894
Rb3 Rb 0.249 0.010 0.068
Rb4 Rb 0.249 0.490 0.568
Rb5 Rb 0.257 0.017 0.727
Rb6 Rb 0.257 0.483 0.227
Rb7 Rb 0.743 0.517 0.773
Rb8 Rb 0.743 0.983 0.273
Rb9 Rb 0.751 0.510 0.432
Rb10 Rb 0.751 0.990 0.932
Rb11 Rb 0.758 0.525 0.106
Rb12 Rb 0.758 0.975 0.606
Sb1 Sb 0.007 0.509 0.341
Sb2 Sb 0.007 0.991 0.841
Sb3 Sb 0.496 0.507 0.158
Sb4 Sb 0.496 0.993 0.658
Sb5 Sb 0.504 0.007 0.342
Sb6 Sb 0.504 0.493 0.842
Sb7 Sb 0.993 0.009 0.159
Sb8 Sb 0.993 0.491 0.659
I1 I 0.026 0.206 0.079
I2 I 0.026 0.294 0.579
I3 I 0.033 0.222 0.412
I4 I 0.033 0.278 0.912
I5 I 0.039 0.183 0.744
I6 I 0.039 0.317 0.244
I7 I 0.243 0.567 0.420
I8 I 0.243 0.933 0.920
I9 I 0.249 0.569 0.752
I10 I 0.249 0.931 0.252
I11 I 0.259 0.557 0.082
I12 I 0.259 0.943 0.582
I13 I 0.466 0.207 0.890
I14 I 0.466 0.293 0.390
I15 I 0.467 0.202 0.223
I16 I 0.467 0.298 0.723
I17 I 0.477 0.193 0.561
I18 I 0.477 0.307 0.061
I19 I 0.523 0.693 0.939
I20 I 0.523 0.807 0.439
I21 I 0.533 0.702 0.277
I22 I 0.533 0.798 0.777
I23 I 0.534 0.707 0.610
I24 I 0.534 0.793 0.110
I25 I 0.741 0.057 0.418
I26 I 0.741 0.443 0.918
I27 I 0.751 0.069 0.748
I28 I 0.751 0.431 0.248
I29 I 0.757 0.067 0.080
I30 I 0.757 0.433 0.580
I31 I 0.961 0.683 0.756
I32 I 0.961 0.817 0.256
I33 I 0.967 0.722 0.088
I34 I 0.967 0.778 0.588
I35 I 0.974 0.706 0.421
I36 I 0.974 0.794 0.921
```


[4]
For Rb3SbI6, DFT lattice parameters and positions (PBE) gives the theoretical powder X-ray diffraction pattern in this record (λ = 1.5418 Å (Cu Kα)).

Main lines, low angle first (15 to 90 degrees two-theta):
- 3.751 Å, I 77
- 3.248 Å, I 100
- 2.905 Å, I 17
- 2.297 Å, I 73
- 1.959 Å, I 33
- 1.875 Å, I 25
- 1.624 Å, I 11
- 1.490 Å, I 12
- 1.453 Å, I 30
- 1.326 Å, I 21

Structure:
```
data_Rb3SbI6
_chemical_formula_sum 'Rb3 Sb1 I6'
_cell_length_a 9.187
_cell_length_b 9.187
_cell_length_c 9.187
_cell_angle_alpha 60.00
_cell_angle_beta 60.00
_cell_angle_gamma 60.00
_symmetry_space_group_name_H-M 'P 1'
_symmetry_Int_Tables_number 1
_symmetry_space_group_name_Hall 'P 1'
loop_
_atom_site_label
_atom_site_type_symbol
_atom_site_fract_x
_atom_site_fract_y
_atom_site_fract_z
Rb1 Rb 0.000 0.000 0.000
Rb2 Rb 0.250 0.250 0.250
Rb3 Rb 0.750 0.750 0.750
Sb1 Sb 0.500 0.500 0.500
I1 I 0.267 0.267 0.733
I2 I 0.267 0.733 0.267
I3 I 0.267 0.733 0.733
I4 I 0.733 0.267 0.267
I5 I 0.733 0.267 0.733
I6 I 0.733 0.733 0.267
```


[5]
For Rb2TlSbI6, DFT lattice parameters and positions (PBE) gives the theoretical powder X-ray diffraction pattern in this record (λ = 1.5418 Å (Cu Kα)).

Main lines, low angle first (15 to 90 degrees two-theta):
- 4.477 Å, I 19
- 3.656 Å, I 46
- 3.166 Å, I 100
- 2.832 Å, I 29
- 2.239 Å, I 75
- 2.111 Å, I 16
- 1.909 Å, I 20
- 1.828 Å, I 26
- 1.416 Å, I 33
- 1.292 Å, I 24

Structure:
```
data_Rb2TlSbI6
_chemical_formula_sum 'Rb2 Tl1 Sb1 I6'
_cell_length_a 8.954
_cell_length_b 8.954
_cell_length_c 8.954
_cell_angle_alpha 60.00
_cell_angle_beta 60.00
_cell_angle_gamma 60.00
_symmetry_space_group_name_H-M 'P 1'
_symmetry_Int_Tables_number 1
_symmetry_space_group_name_Hall 'P 1'
loop_
_atom_site_label
_atom_site_type_symbol
_atom_site_fract_x
_atom_site_fract_y
_atom_site_fract_z
Rb1 Rb 0.250 0.250 0.250
Rb2 Rb 0.750 0.750 0.750
Tl1 Tl 0.000 0.000 0.000
Sb1 Sb 0.500 0.500 0.500
I1 I 0.261 0.261 0.739
I2 I 0.261 0.739 0.261
I3 I 0.261 0.739 0.739
I4 I 0.739 0.261 0.261
I5 I 0.739 0.261 0.739
I6 I 0.739 0.739 0.261
```


[6]
For Rb3ScI6, DFT lattice parameters and positions (PBE) gives the theoretical powder X-ray diffraction pattern in this record (λ = 1.5418 Å (Cu Kα)).

Main lines, low angle first (15 to 90 degrees two-theta):
- 3.674 Å, I 100
- 3.182 Å, I 92
- 2.920 Å, I 13
- 2.450 Å, I 14
- 2.250 Å, I 64
- 1.919 Å, I 39
- 1.837 Å, I 21
- 1.460 Å, I 13
- 1.423 Å, I 23
- 1.299 Å, I 16

Structure:
```
data_Rb3ScI6
_chemical_formula_sum 'Rb3 Sc1 I6'
_cell_length_a 9.000
_cell_length_b 9.000
_cell_length_c 9.000
_cell_angle_alpha 60.00
_cell_angle_beta 60.00
_cell_angle_gamma 60.00
_symmetry_space_group_name_H-M 'P 1'
_symmetry_Int_Tables_number 1
_symmetry_space_group_name_Hall 'P 1'
loop_
_atom_site_label
_atom_site_type_symbol
_atom_site_fract_x
_atom_site_fract_y
_atom_site_fract_z
Rb1 Rb 0.000 0.000 0.000
Rb2 Rb 0.250 0.250 0.250
Rb3 Rb 0.750 0.750 0.750
Sc1 Sc 0.500 0.500 0.500
I1 I 0.273 0.273 0.727
I2 I 0.273 0.727 0.273
I3 I 0.273 0.727 0.727
I4 I 0.727 0.273 0.273
I5 I 0.727 0.273 0.727
I6 I 0.727 0.727 0.273
```


[7]
For Rb2ScTlI6, DFT lattice parameters and positions (PBE) gives the theoretical powder X-ray diffraction pattern in this record (λ = 1.5418 Å (Cu Kα)).

Main lines, low angle first (15 to 90 degrees two-theta):
- 3.773 Å, I 16
- 3.612 Å, I 65
- 3.128 Å, I 100
- 2.871 Å, I 21
- 2.798 Å, I 20
- 2.212 Å, I 72
- 1.886 Å, I 26
- 1.806 Å, I 24
- 1.399 Å, I 29
- 1.277 Å, I 20

Structure:
```
data_Rb2ScTlI6
_chemical_formula_sum 'Rb2 Sc1 Tl1 I6'
_cell_length_a 8.847
_cell_length_b 8.847
_cell_length_c 8.847
_cell_angle_alpha 60.00
_cell_angle_beta 60.00
_cell_angle_gamma 60.00
_symmetry_space_group_name_H-M 'P 1'
_symmetry_Int_Tables_number 1
_symmetry_space_group_name_Hall 'P 1'
loop_
_atom_site_label
_atom_site_type_symbol
_atom_site_fract_x
_atom_site_fract_y
_atom_site_fract_z
Rb1 Rb 0.250 0.250 0.250
Rb2 Rb 0.750 0.750 0.750
Sc1 Sc 0.000 0.000 0.000
Tl1 Tl 0.500 0.500 0.500
I1 I 0.231 0.231 0.769
I2 I 0.231 0.769 0.231
I3 I 0.231 0.769 0.769
I4 I 0.769 0.231 0.231
I5 I 0.769 0.231 0.769
I6 I 0.769 0.769 0.231
```


[8]
For RbTmI3, DFT lattice parameters and positions (PBE) gives the theoretical powder X-ray diffraction pattern in this record (λ = 1.5418 Å (Cu Kα)).

Main lines, low angle first (15 to 90 degrees two-theta):
- 4.219 Å, I 20
- 3.583 Å, I 20
- 3.552 Å, I 19
- 3.500 Å, I 18
- 2.983 Å, I 100
- 2.719 Å, I 26
- 2.668 Å, I 35
- 2.398 Å, I 25
- 2.110 Å, I 31
- 2.010 Å, I 20

Structure:
```
data_RbTmI3
_chemical_formula_sum 'Rb4 Tm4 I12'
_cell_length_a 8.642
_cell_length_b 11.937
_cell_length_c 8.244
_cell_angle_alpha 90.00
_cell_angle_beta 90.00
_cell_angle_gamma 90.00
_symmetry_space_group_name_H-M 'P 1'
_symmetry_Int_Tables_number 1
_symmetry_space_group_name_Hall 'P 1'
loop_
_atom_site_label
_atom_site_type_symbol
_atom_site_fract_x
_atom_site_fract_y
_atom_site_fract_z
Rb1 Rb 0.072 0.250 0.028
Rb2 Rb 0.428 0.750 0.528
Rb3 Rb 0.572 0.250 0.472
Rb4 Rb 0.928 0.750 0.972
Tm1 Tm 0.000 0.000 0.500
Tm2 Tm 0.000 0.500 0.500
Tm3 Tm 0.500 0.000 0.000
Tm4 Tm 0.500 0.500 0.000
I1 I 0.010 0.750 0.415
I2 I 0.209 0.539 0.795
I3 I 0.209 0.961 0.795
I4 I 0.291 0.039 0.295
I5 I 0.291 0.461 0.295
I6 I 0.490 0.250 0.915
I7 I 0.510 0.750 0.085
I8 I 0.709 0.539 0.705
I9 I 0.709 0.961 0.705
I10 I 0.791 0.039 0.205
I11 I 0.791 0.461 0.205
I12 I 0.990 0.250 0.585
```